Record 1
Starting from DFT lattice parameters and positions (GGA-PBE), the powder diffractogram of HoTmZnCo2 was computed for a wavelength of 1.5418 Å.

Largest 10 diffraction maxima, low angle first, 10 to 80 degrees two-theta:
2θ (°), I_rel, (hkl)
27.47, 337, 1 1 0
35.44, 1000, 1 1 2
37.19, 227, 0 1 3
39.93, 251, 0 2 2
40.16, 198, 1 0 3
41.53, 308, 1 2 1
44.79, 348, 2 0 0
59.58, 175, 0 1 5
61.58, 239, 0 3 3
71.73, 208, 1 2 5

Structural model:
Cell: 4.0459 5.4402 8.0970 Å, 90.00 90.00 90.00°
Space group Imm2 (No. 44)
Unique sites:
Ho (0.0000, 0.0000, 0.0000)
Tm (0.0000, 0.0000, 0.5846)
Zn (0.0000, 0.5000, 0.7928)
Co (0.0000, 0.2888, 0.2916)


Record 2
Starting from DFT lattice parameters and positions (GGA-PBE), the powder diffractogram of PrSmAg4 was computed for a wavelength of 1.5418 Å.

Largest 10 diffraction maxima, low angle first, 10 to 80 degrees two-theta:
2θ (°), I_rel, (hkl)
31.30, 232, 1 1 2
33.37, 1000, 1 2 1
33.49, 440, 0 2 2
37.42, 423, 2 0 0
37.75, 698, 1 0 3
39.94, 128, 0 3 1
51.08, 261, 2 2 2
63.12, 143, 1 3 4
64.94, 140, 3 2 1
65.97, 136, 1 4 3

Structural model:
Cell: 4.8070 7.0416 8.2325 Å, 90.00 90.00 90.00°
Space group Imm2 (No. 44)
Unique sites:
Pr (0.0000, 0.0000, 0.0000)
Sm (0.0000, 0.5000, 0.9310)
Ag (0.0000, 0.2119, 0.6308)
Ag (0.0000, 0.2878, 0.2999)


Record 3
Starting from DFT lattice parameters and positions (GGA-PBE), the powder diffractogram of BaHf15O31 was computed for a wavelength of 1.5418 Å.

Largest 10 diffraction maxima, low angle first, 10 to 80 degrees two-theta:
2θ (°), I_rel, (hkl)
28.49, 1000, 0 2 -2
31.06, 442, 2 0 2
31.46, 406, 2 0 -2
33.78, 262, 2 2 0
34.84, 182, 0 0 4
35.37, 212, 2 -2 0
49.62, 102, 2 2 -4
50.25, 122, 2 -2 4
53.24, 122, 4 0 0
60.75, 102, 1 -5 0

Structural model:
Cell: 6.8894 7.9006 10.3024 Å, 89.87 89.21 87.42°
Space group P1 (No. 1)
Unique sites:
Ba (0.0000, 0.0000, 0.0000)
Hf (0.2235, 0.7649, 0.2706)
Hf (0.2323, 0.7459, 0.7500)
Hf (0.2350, 0.3294, 0.2984)
Hf (0.2352, 0.3293, 0.8071)
Hf (0.4614, 0.0264, 0.5506)
Hf (0.4782, 0.0278, 0.0620)
Hf (0.4874, 0.5882, 0.0174)
Hf (0.4939, 0.5730, 0.5065)
Hf (0.6989, 0.8299, 0.7910)
Hf (0.7227, 0.2695, 0.7690)
Hf (0.7269, 0.2725, 0.2600)
Hf (0.7375, 0.8343, 0.3034)
Hf (0.9678, 0.5139, 0.5539)
Hf (0.9697, 0.5145, 0.0506)
Hf (0.9807, 0.0814, 0.5160)
O (0.0099, 0.3038, 0.1706)
O (0.0138, 0.8908, 0.3865)
O (0.0159, 0.2863, 0.6613)
O (0.1848, 0.5716, 0.9073)
O (0.1847, 0.9568, 0.6400)
O (0.1906, 0.5538, 0.4105)
O (0.2359, 0.9729, 0.1681)
O (0.2623, 0.1455, 0.4375)
O (0.2640, 0.5442, 0.1522)
O (0.2664, 0.5321, 0.6483)
O (0.2932, 0.1530, 0.9351)
O (0.4195, 0.8111, 0.9012)
O (0.4418, 0.2078, 0.6846)
O (0.4447, 0.8065, 0.4068)
O (0.4472, 0.2320, 0.1777)
O (0.5039, 0.7835, 0.6534)
O (0.5185, 0.3941, 0.3756)
O (0.5181, 0.4162, 0.8707)
O (0.5302, 0.7801, 0.1584)
O (0.6710, 0.0520, 0.8955)
O (0.6891, 0.0623, 0.4160)
O (0.6925, 0.4563, 0.6295)
O (0.6951, 0.4607, 0.1230)
O (0.7422, 0.0421, 0.1683)
O (0.7666, 0.0317, 0.6582)
O (0.7698, 0.6436, 0.4386)
O (0.7739, 0.6812, 0.9427)
O (0.9352, 0.3107, 0.4129)
O (0.9382, 0.3285, 0.8996)
O (0.9441, 0.7102, 0.7016)
O (0.9494, 0.7205, 0.1811)


Record 4
Starting from DFT lattice parameters and positions (GGA-PBE), the powder diffractogram of ZnInGaTe2S2 was computed for a wavelength of 1.5418 Å.

Largest 10 diffraction maxima, low angle first, 10 to 80 degrees two-theta:
2θ (°), I_rel, (hkl)
17.13, 450, 1 0 -1
26.14, 1000, 1 1 0
26.94, 723, 1 -1 1
28.45, 198, 0 1 -2
35.09, 273, 1 -2 1
42.97, 220, 0 2 1
43.52, 410, 2 -2 0
44.56, 369, 2 0 -3
51.93, 232, 1 3 -3
52.40, 247, 3 1 -3

Structural model:
Cell: 5.8109 5.9602 6.9477 Å, 113.09 114.70 90.01°
Space group P1 (No. 1)
Unique sites:
Zn (0.0000, 0.0000, 0.0000)
In (0.5031, 0.4512, 0.0102)
Ga (0.7190, 0.2208, 0.5056)
Te (0.1058, 0.6031, 0.7166)
Te (0.9157, 0.8634, 0.2913)
S (0.3667, 0.3304, 0.2626)
S (0.6293, 0.0956, 0.7496)


Record 5
Starting from DFT lattice parameters and positions (GGA-PBE), the powder diffractogram of PrAlGaPdAu was computed for a wavelength of 1.5418 Å.

Largest 10 diffraction maxima, low angle first, 10 to 80 degrees two-theta:
2θ (°), I_rel, (hkl)
29.92, 387, 1 1 1
32.74, 485, 1 0 3
33.47, 1000, 1 1 2
40.96, 605, 2 0 0
45.26, 202, 1 1 4
48.13, 198, 1 0 5
53.40, 240, 2 1 3
59.32, 202, 2 2 0
65.00, 158, 2 1 5
69.85, 262, 3 1 2

Structural model:
Cell: 4.4064 4.4064 10.4658 Å, 90.00 90.00 90.00°
Space group P4/nmm (No. 129, origin choice 2)
Unique sites:
Pr (0.2500, 0.2500, 0.2491)
Al (0.2500, 0.7500, 0.0000)
Ga (0.2500, 0.2500, 0.6421)
Pd (0.2500, 0.2500, 0.8782)
Au (0.2500, 0.7500, 0.5000)


Record 6
Starting from DFT lattice parameters and positions (GGA-PBE), the powder diffractogram of GdYIn2Pt4 was computed for a wavelength of 1.5418 Å.

Largest 10 diffraction maxima, low angle first, 10 to 80 degrees two-theta:
2θ (°), I_rel, (hkl)
19.60, 101, 0 0 2
22.37, 187, 1 0 0
29.91, 106, 1 0 2
37.41, 1000, 1 0 3
39.27, 899, 1 1 0
46.14, 99, 1 0 4
55.35, 326, 2 0 3
66.23, 129, 1 0 6
69.95, 324, 2 1 3
71.18, 156, 3 0 0

Structural model:
Cell: 4.5890 4.5890 9.0563 Å, 90.00 90.00 120.00°
Space group P-6m2 (No. 187)
Unique sites:
Gd (0.0000, 0.0000, 0.0000)
Y (0.6667, 0.3333, 0.5000)
In (0.3333, 0.6667, 0.2507)
Pt (0.0000, 0.0000, 0.3420)
Pt (0.6667, 0.3333, 0.1593)


Record 7
Starting from DFT lattice parameters and positions (GGA-PBE), the powder diffractogram of TbGdB2As2Ir2 was computed for a wavelength of 1.5418 Å.

Largest 10 diffraction maxima, low angle first, 10 to 80 degrees two-theta:
2θ (°), I_rel, (hkl)
10.23, 559, 0 0 1
24.61, 186, 1 0 1
31.03, 492, 0 0 3
33.47, 881, 1 1 1
38.14, 1000, 1 1 2
38.56, 188, 1 0 3
45.56, 477, 2 0 0
56.14, 373, 2 0 3
63.08, 218, 1 1 5
79.23, 244, 3 1 2

Structural model:
Cell: 3.9823 3.9823 8.6471 Å, 90.00 90.00 90.00°
Space group P4mm (No. 99)
Unique sites:
Tb (0.0000, 0.0000, 0.0000)
Gd (0.5000, 0.5000, 0.4187)
B (0.0000, 0.0000, 0.6030)
B (0.5000, 0.5000, 0.8150)
As (0.0000, 0.0000, 0.3536)
As (0.5000, 0.5000, 0.0641)
Ir (0.0000, 0.5000, 0.7094)


Record 8
Starting from DFT lattice parameters and positions (GGA-PBE), the powder diffractogram of Dy2Sn6Au was computed for a wavelength of 1.5418 Å.

Largest 10 diffraction maxima, low angle first, 10 to 80 degrees two-theta:
2θ (°), I_rel, (hkl)
23.12, 125, 1 3 0
25.07, 108, 0 4 1
30.47, 126, 1 3 1
31.30, 94, 0 8 0
34.36, 1000, 1 5 1
39.75, 221, 0 0 2
40.49, 211, 2 0 0
58.04, 149, 2 0 2
68.70, 140, 1 5 3
69.73, 134, 3 5 1

Structural model:
Cell: 4.4554 22.8618 4.5354 Å, 90.00 90.00 90.00°
Space group Cmmm (No. 65)
Unique sites:
Dy (0.0000, 0.1820, 0.0000)
Sn (0.0000, 0.0796, 0.5000)
Sn (0.0000, 0.2946, 0.5000)
Sn (0.0000, 0.4220, 0.0000)
Au (0.0000, 0.5000, 0.5000)


Record 9
Starting from DFT lattice parameters and positions (GGA-PBE), the powder diffractogram of Na5AuSe12 was computed for a wavelength of 1.5418 Å.

Largest 10 diffraction maxima, low angle first, 10 to 80 degrees two-theta:
2θ (°), I_rel, (hkl)
10.49, 353, 0 2 0
12.26, 245, 0 1 1
13.91, 282, 1 1 0
15.32, 471, 1 1 -1
17.85, 277, 1 2 -1
29.51, 1000, 1 5 0
30.81, 460, 1 2 2
30.95, 352, 2 2 -2
33.06, 254, 1 3 2
43.90, 293, 0 7 2

Structural model:
Cell: 7.1745 16.8614 8.3362 Å, 90.00 106.59 90.00°
Space group P2_1 (No. 4)
Unique sites:
Na (0.1228, 0.0000, 0.1045)
Na (0.2199, 0.1979, 0.0172)
Na (0.2197, 0.7812, 0.3489)
Na (0.2910, 0.5631, 0.5644)
Na (0.3343, 0.3771, 0.2848)
Au (0.2155, 0.7869, 0.8419)
Se (0.0049, 0.8497, 0.5734)
Se (0.0480, 0.6533, 0.7542)
Se (0.0491, 0.5907, 0.2168)
Se (0.0937, 0.3570, 0.9334)
Se (0.1553, 0.9779, 0.5631)
Se (0.2184, 0.1868, 0.4866)
Se (0.3142, 0.5903, 0.0976)
Se (0.3634, 0.3866, 0.8279)
Se (0.3880, 0.9190, 0.9183)
Se (0.3960, 0.9487, 0.4211)
Se (0.4300, 0.7251, 0.1097)
Se (0.4754, 0.2080, 0.3628)


Record 10
Starting from DFT lattice parameters and positions (GGA-PBE), the powder diffractogram of LiPr was computed for a wavelength of 1.5418 Å.

Largest 9 diffraction maxima, low angle first, 10 to 80 degrees two-theta:
2θ (°), I_rel, (hkl)
23.42, 1000, 1 0 0
33.37, 937, 1 1 0
41.17, 303, 1 1 1
47.91, 170, 2 0 0
53.99, 412, 2 1 0
59.63, 352, 2 1 1
70.08, 108, 2 2 0
75.03, 193, 3 0 0
79.87, 151, 3 1 0

Structural model:
Cell: 3.7977 3.7977 3.7977 Å, 90.00 90.00 90.00°
Space group Pm-3m (No. 221)
Unique sites:
Li (0.0000, 0.0000, 0.0000)
Pr (0.5000, 0.5000, 0.5000)


Record 11
Starting from DFT lattice parameters and positions (GGA-PBE), the powder diffractogram of Pr2Sc2CBr3Cl2 was computed for a wavelength of 1.5418 Å.

Largest 10 diffraction maxima, low angle first, 10 to 80 degrees two-theta:
2θ (°), I_rel, (hkl)
10.24, 850, 2 0 0
10.51, 165, 0 0 1
24.16, 247, 1 1 0
31.07, 444, 6 0 0
31.24, 161, 2 0 -3
31.50, 1000, 1 1 -2
35.23, 240, 5 1 0
39.46, 168, 1 1 -3
44.52, 252, 5 1 2
45.14, 234, 7 1 -2

Structural model:
Cell: 17.7224 3.7711 8.6340 Å, 90.00 102.94 90.00°
Space group C2/m (No. 12)
Unique sites:
Pr (0.0011, 0.0000, 0.2940)
Sc (0.1302, 0.5000, 0.5619)
C (0.0000, 0.5000, 0.5000)
Br (0.0000, 0.5000, 0.0000)
Br (0.1723, 0.0000, 0.7973)
Cl (0.1680, 0.0000, 0.3824)


Record 12
Starting from DFT lattice parameters and positions (GGA-PBE), the powder diffractogram of FeSi25Ge6 was computed for a wavelength of 1.5418 Å.

Largest 10 diffraction maxima, low angle first, 10 to 80 degrees two-theta:
2θ (°), I_rel, (hkl)
11.38, 68, 0 0 2
16.14, 33, 1 -1 0
19.79, 43, 1 -1 2
22.89, 33, 0 0 4
28.14, 1000, 2 0 0
30.45, 34, 0 2 -2
46.77, 687, 2 2 0
55.48, 406, 3 -3 4
68.30, 107, 4 -4 0
75.43, 162, 5 -1 4

Structural model:
Cell: 6.7259 6.7267 15.5462 Å, 90.03 90.00 109.49°
Space group P1 (No. 1)
Unique sites:
Fe (0.0000, 0.0000, 0.0000)
Si (0.0030, 0.0036, 0.2441)
Si (0.1116, 0.3565, 0.0007)
Si (0.1199, 0.3808, 0.5019)
Si (0.1211, 0.8778, 0.1173)
Si (0.1214, 0.8782, 0.8827)
Si (0.1250, 0.8744, 0.6320)
Si (0.1255, 0.3752, 0.2490)
Si (0.1256, 0.3755, 0.7525)
Si (0.4973, 0.0022, 0.6315)
Si (0.4977, 0.0028, 0.1214)
Si (0.4979, 0.4946, 0.2497)
Si (0.4991, 0.0016, 0.8770)
Si (0.4992, 0.5012, 0.7522)
Si (0.5027, 0.0046, 0.3743)
Si (0.6242, 0.8741, 0.7536)
Si (0.6254, 0.3743, 0.6297)
Si (0.6264, 0.3734, 0.1267)
Si (0.6264, 0.3734, 0.8744)
Si (0.6256, 0.3743, 0.3735)
Si (0.6440, 0.8887, 0.9997)
Si (0.9979, 0.0013, 0.7556)
Si (0.9981, 0.4937, 0.3743)
Si (0.9988, 0.5002, 0.1244)
Si (0.9986, 0.5002, 0.8770)
Si (0.9992, 0.5009, 0.6284)
Ge (0.0034, 0.0037, 0.5044)
Ge (0.1248, 0.8742, 0.3723)
Ge (0.4980, 0.4940, 0.5015)
Ge (0.4993, 0.5016, 0.0005)
Ge (0.6183, 0.8797, 0.5030)
Ge (0.6239, 0.8738, 0.2481)